Structure and computed X-ray powder pattern of Nb2VO8 (the PBE+U geometry in Alexandria; Cu Ka).
No peak broadening, texture or thermal motion is included.

Structural model:
```
data_Nb2VO8
_cell_length_a 6.0674
_cell_length_b 6.0674
_cell_length_c 4.1782
_cell_angle_alpha 90.00
_cell_angle_beta 90.00
_cell_angle_gamma 120.00
_space_group_name_H-M_alt 'P -3 m 1'
_space_group_IT_number 164
_space_group_name_Hall '-P 3 2"'
loop_
_atom_site_label
_atom_site_fract_x
_atom_site_fract_y
_atom_site_fract_z
Nb1 0.3333 0.6667 0.2024
V1 0.0000 0.0000 0.5000
O1 0.1524 0.3048 0.2606
O2 0.3333 0.6667 0.7567
```

The 10 most intense peaks (2θ from 10° to 90°), sorted by position:
hkl  d (Å)  2theta  intensity
1 0 1  3.270  27.27  100
1 1 0  3.034  29.44  82
2 0 0  2.627  34.13  11
0 1 2  1.941  46.80  16
2 1 1  1.794  50.91  39
3 0 0  1.752  52.23  15
2 0 2  1.635  56.26  18
2 2 0  1.517  61.09  19
1 2 2  1.439  64.77  15
1 3 1  1.376  68.15  13